1.
Starting from DFT lattice parameters and positions (GGA-PBE), the powder X-ray diffraction pattern of Th7Tc2Te2 was simulated for CuKα.
Intensities are scaled so that the largest is 100.

Largest 10 diffraction maxima, in order of rising 2θ, 2θ = 5–70°:
3.215 Å, I = 16; 3.202 Å, I = 18; 3.115 Å, I = 20; 3.026 Å, I = 48; 2.812 Å, I = 61; 2.734 Å, I = 100; 2.683 Å, I = 62; 2.411 Å, I = 15; 1.974 Å, I = 24; 1.616 Å, I = 33

```
Th7Tc2Te2
1.0
-1.974 8.210 4.917
1.974 -8.210 4.917
1.974 8.210 -4.917
Th Tc Te
7 2 2
direct
0.000 0.000 0.000 Th
0.287 0.424 0.863 Th
0.303 0.624 0.679 Th
0.560 0.424 0.137 Th
0.598 0.252 0.346 Th
0.906 0.252 0.654 Th
0.945 0.624 0.321 Th
0.160 0.934 0.226 Tc
0.708 0.934 0.774 Tc
0.274 0.774 0.500 Te
0.670 0.670 0.000 Te
```

2.
Starting from DFT lattice parameters and positions (GGA-PBE), the powder X-ray diffraction pattern of Th4TcTe3 was simulated for CuKα.
Intensities are scaled so that the largest is 100.

Largest 10 diffraction maxima, in order of rising 2θ, 2θ = 5–70°:
3.648 Å, I = 10; 3.165 Å, I = 100; 3.133 Å, I = 47; 2.278 Å, I = 35; 2.243 Å, I = 17; 2.232 Å, I = 17; 2.179 Å, I = 34; 1.824 Å, I = 17; 1.767 Å, I = 10; 1.582 Å, I = 10

```
Th4TcTe3
1.0
7.933 0.000 0.000
0.000 8.974 0.000
-2.448 0.000 7.067
Th Tc Te
8 2 6
direct
0.206 0.108 0.010 Th
0.206 0.892 0.510 Th
0.222 0.345 0.471 Th
0.222 0.655 0.971 Th
0.778 0.345 0.029 Th
0.778 0.655 0.529 Th
0.794 0.108 0.490 Th
0.794 0.892 0.990 Th
0.000 0.120 0.250 Tc
0.000 0.880 0.750 Tc
0.000 0.378 0.750 Te
0.000 0.622 0.250 Te
0.500 0.125 0.750 Te
0.500 0.386 0.250 Te
0.500 0.614 0.750 Te
0.500 0.875 0.250 Te
```

3.
Starting from DFT lattice parameters and positions (GGA-PBE), the powder X-ray diffraction pattern of YTcTe was simulated for CuKα.
Intensities are scaled so that the largest is 100.

Largest 10 diffraction maxima, in order of rising 2θ, 2θ = 5–70°:
10.069 Å, I = 34; 3.582 Å, I = 25; 3.508 Å, I = 17; 2.768 Å, I = 76; 2.608 Å, I = 100; 2.082 Å, I = 73; 2.014 Å, I = 17; 1.664 Å, I = 16; 1.627 Å, I = 23; 1.448 Å, I = 34

```
YTcTe
1.0
2.082 1.202 10.069
-2.082 1.202 10.069
0.000 -2.405 10.069
Y Tc Te
2 2 2
direct
0.000 0.000 0.000 Y
0.139 0.139 0.139 Y
0.257 0.257 0.257 Tc
0.602 0.602 0.602 Tc
0.739 0.739 0.739 Te
0.870 0.870 0.870 Te
```

4.
Starting from DFT lattice parameters and positions (GGA-PBE), the powder X-ray diffraction pattern of Y4TcTe was simulated for CuKα.
Intensities are scaled so that the largest is 100.

Largest 10 diffraction maxima, in order of rising 2θ, 2θ = 5–70°:
2.941 Å, I = 78; 2.896 Å, I = 45; 2.838 Å, I = 41; 2.644 Å, I = 100; 2.626 Å, I = 27; 2.431 Å, I = 29; 2.355 Å, I = 47; 2.322 Å, I = 28; 2.220 Å, I = 37; 2.077 Å, I = 46

```
Y4TcTe
1.0
8.076 0.000 0.000
0.000 4.154 0.000
0.000 0.000 19.438
Y Tc Te
16 4 4
direct
0.002 0.250 0.067 Y
0.062 0.750 0.211 Y
0.122 0.750 0.642 Y
0.144 0.750 0.457 Y
0.356 0.250 0.957 Y
0.378 0.250 0.142 Y
0.438 0.250 0.711 Y
0.498 0.750 0.567 Y
0.502 0.250 0.433 Y
0.562 0.750 0.289 Y
0.622 0.750 0.858 Y
0.644 0.750 0.043 Y
0.856 0.250 0.543 Y
0.878 0.250 0.358 Y
0.938 0.250 0.789 Y
0.998 0.750 0.933 Y
0.250 0.250 0.558 Tc
0.250 0.750 0.058 Tc
0.750 0.250 0.942 Tc
0.750 0.750 0.442 Tc
0.242 0.750 0.805 Te
0.258 0.250 0.305 Te
0.742 0.750 0.695 Te
0.758 0.250 0.195 Te
```

Which formula does entry 3 have? YTcTe